Cs4MgMn4H16Cl12O8: simulated powder diffraction line list (a wavelength of 1.5418 Å), based on DFT lattice parameters and positions (PBE+U).
Lines closer than 0.1° are merged.

Cell and atoms:
abc: 9.121 8.059 11.781
angles: 90.00 91.72 90.00
Space group P2 (No. 3)
Unique sites:
1 Cs 0.183 0.000 0.133
2 Cs 0.263 0.037 0.600
3 Mg 0.500 0.171 0.000
4 Mn 0.000 0.517 0.000
5 Mn 0.000 0.552 0.500
6 Mn 0.500 0.507 0.500
7 Mn 0.500 0.606 0.000
8 H 0.021 0.355 0.302
9 H 0.029 0.709 0.799
10 H 0.176 0.348 0.367
11 H 0.180 0.727 0.868
12 H 0.320 0.720 0.368
13 H 0.323 0.370 0.864
14 H 0.474 0.718 0.308
15 H 0.480 0.373 0.808
16 Cl 0.082 0.786 0.366
17 Cl 0.090 0.296 0.861
18 Cl 0.253 0.524 0.594
19 Cl 0.253 0.560 0.094
20 Cl 0.406 0.789 0.843
21 Cl 0.410 0.283 0.356
22 O 0.069 0.355 0.379
23 O 0.072 0.717 0.877
24 O 0.427 0.714 0.383
25 O 0.430 0.385 0.881

Most intense lines, 2θ = 10–80°, sorted by position:
| h k l | two_theta | I (rel.) |
| --- | --- | --- |
| 1 1 2 | 21.29 | 56 |
| 2 1 0 | 22.41 | 82 |
| 1 2 -2 | 28.41 | 100 |
| 1 2 2 | 28.73 | 100 |
| 2 2 0 | 29.59 | 47 |
| 0 0 4 | 30.37 | 44 |
| 3 0 2 | 33.59 | 44 |
| 2 2 4 | 43.36 | 45 |